Entry 1:
Theoretical powder diffraction line list of P2H4PbO4 for Cu Kα, 1.54184 Å, from a cell relaxed with PBE.
Neutral-atom scattering factors, no anomalous dispersion.

The 10 most intense peaks (2θ = 15–90°), in order of rising 2θ:
2θ/deg, d (Å), I/Imax
21.20, 4.192, 42
21.63, 4.108, 52
26.16, 3.406, 100
27.23, 3.275, 99
29.29, 3.050, 34
29.50, 3.028, 33
31.42, 2.847, 32
34.40, 2.607, 48
35.79, 2.509, 38
42.05, 2.149, 32

a = 8.5285 Å, b = 8.5285 Å, c = 6.0666 Å
α = 93.03°, β = 93.03°, γ = 41.90°
Fractional coordinates of all 22 atoms:
1 P 0.1097 0.6139 0.7289
2 P 0.3861 0.8903 0.7711
3 P 0.6139 0.1097 0.2289
4 P 0.8903 0.3861 0.2711
5 H 0.0753 0.3118 0.4078
6 H 0.1774 0.4341 0.8524
7 H 0.3118 0.0753 0.9078
8 H 0.4341 0.1774 0.3524
9 H 0.5659 0.8226 0.6476
10 H 0.6882 0.9247 0.0922
11 H 0.8226 0.5659 0.1476
12 H 0.9247 0.6882 0.5922
13 Pb 0.2497 0.7503 0.2500
14 Pb 0.7503 0.2497 0.7500
15 O 0.0096 0.8163 0.8868
16 O 0.1837 0.9904 0.6132
17 O 0.3129 0.5073 0.5833
18 O 0.4927 0.6871 0.9167
19 O 0.5073 0.3129 0.0833
20 O 0.6871 0.4927 0.4167
21 O 0.8163 0.0096 0.3868
22 O 0.9904 0.1837 0.1132

Entry 2:
Theoretical powder diffraction line list of K2Si3SnO9 for Cu Kα, 1.54184 Å, from a cell relaxed with PBE.
Neutral-atom scattering factors, no anomalous dispersion.

The 10 most intense peaks (2θ = 15–90°), in order of rising 2θ:
2θ/deg, d (Å), I/Imax
22.87, 3.889, 60
25.57, 3.484, 32
27.05, 3.296, 13
30.24, 2.956, 27
30.91, 2.893, 19
31.12, 2.874, 100
45.07, 2.012, 17
46.72, 1.944, 15
48.68, 1.871, 24
54.01, 1.698, 27

a = 6.9685 Å, b = 6.9685 Å, c = 10.1707 Å
α = 90.00°, β = 90.00°, γ = 120.00°
Fractional coordinates of all 30 atoms:
1 K 0.3333 0.6667 0.0568
2 K 0.3333 0.6667 0.4432
3 K 0.6667 0.3333 0.5568
4 K 0.6667 0.3333 0.9432
5 Si 0.1287 0.3828 0.7500
6 Si 0.2541 0.8713 0.7500
7 Si 0.3828 0.2541 0.2500
8 Si 0.6172 0.7459 0.7500
9 Si 0.7459 0.1287 0.2500
10 Si 0.8713 0.6172 0.2500
11 Sn 0.0000 0.0000 0.0000
12 Sn 0.0000 0.0000 0.5000
13 O 0.0188 0.2555 0.6136
14 O 0.0188 0.2555 0.8864
15 O 0.0861 0.5987 0.7500
16 O 0.2367 0.9812 0.6136
17 O 0.2367 0.9812 0.8864
18 O 0.2555 0.2367 0.1136
19 O 0.2555 0.2367 0.3864
20 O 0.4013 0.4874 0.7500
21 O 0.4874 0.0861 0.2500
22 O 0.5125 0.9139 0.7500
23 O 0.5987 0.5125 0.2500
24 O 0.7445 0.7633 0.6136
25 O 0.7445 0.7633 0.8864
26 O 0.7633 0.0188 0.1136
27 O 0.7633 0.0188 0.3864
28 O 0.9139 0.4013 0.2500
29 O 0.9812 0.7445 0.1136
30 O 0.9812 0.7445 0.3864

Entry 3:
Theoretical powder diffraction line list of GaPH11C3Cl for Cu Kα, 1.54184 Å, from a cell relaxed with PBE.
Neutral-atom scattering factors, no anomalous dispersion.

The 10 most intense peaks (2θ = 15–90°), in order of rising 2θ:
2θ/deg, d (Å), I/Imax
17.04, 5.204, 45
17.28, 5.131, 100
21.52, 4.129, 30
22.76, 3.906, 31
25.08, 3.550, 27
27.07, 3.294, 35
29.59, 3.019, 15
34.98, 2.565, 11
36.22, 2.480, 15
38.14, 2.359, 11

a = 6.6624 Å, b = 7.6754 Å, c = 10.2615 Å
α = 89.96°, β = 89.98°, γ = 65.01°
Fractional coordinates of all 34 atoms:
1 Ga 0.2027 0.3626 0.2502
2 Ga 0.7973 0.6374 0.7498
3 P 0.1372 0.6998 0.2502
4 P 0.8628 0.3002 0.7498
5 H 0.1824 0.9921 0.7680
6 H 0.1831 0.7435 0.0188
7 H 0.1833 0.7437 0.4812
8 H 0.2144 0.9241 0.1167
9 H 0.2143 0.9247 0.3833
10 H 0.2288 0.1498 0.6553
11 H 0.2404 0.1867 0.8262
12 H 0.3064 0.2704 0.3840
13 H 0.3064 0.2710 0.1163
14 H 0.4330 0.6867 0.1081
15 H 0.4331 0.6874 0.3917
16 H 0.5669 0.3126 0.6083
17 H 0.5670 0.3133 0.8919
18 H 0.6936 0.7290 0.8837
19 H 0.6936 0.7296 0.6160
20 H 0.7596 0.8133 0.1738
21 H 0.7712 0.8502 0.3447
22 H 0.7857 0.0753 0.6167
23 H 0.7856 0.0759 0.8833
24 H 0.8167 0.2563 0.5188
25 H 0.8169 0.2565 0.9812
26 H 0.8176 0.0079 0.2320
27 C 0.1569 0.1409 0.7502
28 C 0.2524 0.7707 0.1098
29 C 0.2524 0.7713 0.3901
30 C 0.7476 0.2287 0.6099
31 C 0.7476 0.2293 0.8902
32 C 0.8431 0.8591 0.2498
33 Cl 0.1515 0.6151 0.7502
34 Cl 0.8485 0.3849 0.2498

Entry 4:
Theoretical powder diffraction line list of Ge for Cu Kα, 1.54184 Å, from a cell relaxed with PBE.
Neutral-atom scattering factors, no anomalous dispersion.

The 10 most intense peaks (2θ = 15–90°), in order of rising 2θ:
2θ/deg, d (Å), I/Imax
30.90, 2.894, 37
31.11, 2.875, 100
31.72, 2.821, 41
48.02, 1.895, 35
48.17, 1.889, 21
48.59, 1.874, 35
49.30, 1.848, 27
52.11, 1.755, 30
58.33, 1.582, 13
84.18, 1.150, 12

a = 6.1199 Å, b = 6.1199 Å, c = 6.1199 Å
α = 109.98°, β = 109.98°, γ = 109.98°
Fractional coordinates of all 8 atoms:
1 Ge 0.0301 0.5269 0.2218
2 Ge 0.2145 0.2145 0.2145
3 Ge 0.2218 0.0301 0.5269
4 Ge 0.4731 0.7782 0.9699
5 Ge 0.5269 0.2218 0.0301
6 Ge 0.7782 0.9699 0.4731
7 Ge 0.7855 0.7855 0.7855
8 Ge 0.9699 0.4731 0.7782

Entry 5:
Theoretical powder diffraction line list of Zr2N2O for Cu Kα, 1.54184 Å, from a cell relaxed with PBE.
Neutral-atom scattering factors, no anomalous dispersion.

The 10 most intense peaks (2θ = 15–90°), in order of rising 2θ:
2θ/deg, d (Å), I/Imax
30.62, 2.920, 100
32.32, 2.770, 78
32.50, 2.755, 26
33.47, 2.677, 37
43.31, 2.089, 23
47.31, 1.922, 26
47.39, 1.918, 24
55.80, 1.648, 16
57.04, 1.615, 28
64.97, 1.435, 18

a = 5.5100 Å, b = 7.0788 Å, c = 9.8854 Å
α = 76.62°, β = 89.97°, γ = 89.83°
Fractional coordinates of all 30 atoms:
1 Zr 0.0000 0.0000 0.0000
2 Zr 0.0010 0.9971 0.6670
3 Zr 0.0743 0.5479 0.2421
4 Zr 0.0840 0.5433 0.5748
5 Zr 0.0888 0.5417 0.9096
6 Zr 0.4889 0.2728 0.7864
7 Zr 0.5156 0.2813 0.4526
8 Zr 0.5226 0.2870 0.1173
9 Zr 0.5753 0.7363 0.2104
10 Zr 0.5812 0.7346 0.5433
11 Zr 0.5885 0.7363 0.8767
12 Zr 0.9773 0.0169 0.3301
13 N 0.2418 0.2512 0.6226
14 N 0.2456 0.2518 0.9598
15 N 0.3571 0.5778 0.4022
16 N 0.3598 0.5780 0.7357
17 N 0.3609 0.5814 0.0707
18 N 0.7382 0.0237 0.1575
19 N 0.7405 0.0223 0.5016
20 N 0.7464 0.0273 0.8283
21 N 0.7576 0.3702 0.2730
22 N 0.8554 0.7090 0.3805
23 N 0.8611 0.6987 0.0497
24 N 0.8620 0.6966 0.7174
25 O 0.2247 0.8862 0.1888
26 O 0.2306 0.8860 0.5149
27 O 0.2370 0.8833 0.8527
28 O 0.2581 0.2467 0.2903
29 O 0.7293 0.3988 0.5983
30 O 0.7335 0.3961 0.9322

Entry 6:
Theoretical powder diffraction line list of U24CrFe3 for Cu Kα, 1.54184 Å, from a cell relaxed with PBE.
Neutral-atom scattering factors, no anomalous dispersion.

The 10 most intense peaks (2θ = 15–90°), in order of rising 2θ:
2θ/deg, d (Å), I/Imax
34.30, 2.615, 28
36.17, 2.483, 100
40.42, 2.232, 6
45.46, 1.995, 13
54.09, 1.696, 8
58.16, 1.586, 9
62.65, 1.483, 22
65.62, 1.423, 12
83.13, 1.162, 9
83.29, 1.160, 9

a = 7.6629 Å, b = 7.6629 Å, c = 14.3696 Å
α = 90.00°, β = 90.00°, γ = 140.10°
Fractional coordinates of all 28 atoms:
1 U 0.0000 0.5000 0.6579
2 U 0.0000 0.5000 0.8431
3 U 0.0871 0.4052 0.4410
4 U 0.0910 0.4085 0.0607
5 U 0.0932 0.4055 0.2473
6 U 0.1876 0.3069 0.6596
7 U 0.1928 0.3071 0.8416
8 U 0.3069 0.1876 0.3404
9 U 0.3071 0.1928 0.1584
10 U 0.4052 0.0871 0.5590
11 U 0.4055 0.0932 0.7527
12 U 0.4085 0.0910 0.9393
13 U 0.5000 0.0000 0.1569
14 U 0.5000 0.0000 0.3421
15 U 0.5915 0.9090 0.9393
16 U 0.5945 0.9068 0.7527
17 U 0.5948 0.9129 0.5590
18 U 0.6929 0.8072 0.1584
19 U 0.6931 0.8124 0.3404
20 U 0.8072 0.6929 0.8416
21 U 0.8124 0.6931 0.6596
22 U 0.9068 0.5945 0.2473
23 U 0.9090 0.5915 0.0607
24 U 0.9129 0.5948 0.4410
25 Cr 0.5000 0.5000 0.5000
26 Fe 0.0000 0.0000 0.0000
27 Fe 0.0000 0.0000 0.5000
28 Fe 0.5000 0.5000 0.0000